Starting from DFT lattice parameters and positions (GGA-PBE), the powder diffraction line list of InTeIrCl was calculated for Cu Ka.
Intensities are scaled so that the largest is 100.

Main lines, in order of rising 2θ (10 to 90 degrees two-theta):
| d [Å] | I/Imax |
| --- | --- |
| 8.607 | 100 |
| 3.149 | 12 |
| 3.016 | 17 |
| 2.792 | 53 |
| 2.585 | 20 |
| 2.339 | 14 |
| 1.957 | 18 |
| 1.842 | 12 |

Atomic structure:
Cell: 6.412 3.701 9.151 Å, 90.00 109.85 90.00°
Positions (direct):
1 In 0.000 0.000 0.000
2 In 0.500 0.500 0.000
3 Te 0.147 0.000 0.613
4 Te 0.647 0.500 0.613
5 Ir 0.061 0.500 0.781
6 Ir 0.561 0.000 0.781
7 Cl 0.439 0.000 0.212
8 Cl 0.939 0.500 0.212

Starting from DFT lattice parameters and positions (GGA-PBE), the powder diffraction line list of GaMo3C was calculated for Cu Ka.
Intensities are scaled so that the largest is 100.

Main lines, in order of rising 2θ (10 to 90 degrees two-theta):
| d [Å] | I/Imax |
| --- | --- |
| 2.416 | 85 |
| 2.363 | 82 |
| 2.301 | 100 |
| 2.194 | 44 |
| 2.114 | 52 |
| 1.969 | 36 |
| 1.522 | 35 |
| 1.325 | 43 |

Atomic structure:
Cell: 7.094 7.094 3.044 Å, 90.00 90.00 111.92°
Positions (direct):
1 Ga 0.000 0.000 0.000
2 Ga 0.500 0.500 0.500
3 Mo 0.172 0.431 0.000
4 Mo 0.200 0.800 0.500
5 Mo 0.431 0.172 0.000
6 Mo 0.569 0.828 0.000
7 Mo 0.800 0.200 0.500
8 Mo 0.828 0.569 0.000
9 C 0.000 0.500 0.500
10 C 0.500 0.000 0.500

Starting from DFT lattice parameters and positions (GGA-PBE), the powder diffraction line list of MnCu2Cl5 was calculated for Cu Ka.
Intensities are scaled so that the largest is 100.

Main lines, in order of rising 2θ (10 to 90 degrees two-theta):
| d [Å] | I/Imax |
| --- | --- |
| 5.787 | 49 |
| 4.923 | 100 |
| 4.760 | 31 |
| 4.733 | 23 |
| 2.990 | 36 |
| 2.929 | 41 |
| 2.367 | 24 |
| 1.993 | 23 |

Atomic structure:
Cell: 10.764 7.288 6.279 Å, 90.00 117.81 90.00°
Positions (direct):
1 Mn 0.000 0.000 0.000
2 Mn 0.500 0.500 0.000
3 Cu 0.361 0.266 0.518
4 Cu 0.361 0.734 0.518
5 Cu 0.861 0.234 0.518
6 Cu 0.861 0.766 0.518
7 Cl 0.056 0.273 0.876
8 Cl 0.056 0.727 0.876
9 Cl 0.261 0.500 0.643
10 Cl 0.262 0.000 0.332
11 Cl 0.417 0.500 0.289
12 Cl 0.556 0.227 0.876
13 Cl 0.556 0.773 0.876
14 Cl 0.761 0.000 0.643
15 Cl 0.762 0.500 0.332
16 Cl 0.917 0.000 0.289

Starting from DFT lattice parameters and positions (GGA-PBE), the powder diffraction line list of HoTh3Se6 was calculated for Cu Ka.
Intensities are scaled so that the largest is 100.

Main lines, in order of rising 2θ (10 to 90 degrees two-theta):
| d [Å] | I/Imax |
| --- | --- |
| 3.757 | 100 |
| 3.680 | 39 |
| 2.724 | 49 |
| 2.560 | 41 |
| 2.486 | 67 |
| 2.248 | 45 |
| 1.995 | 24 |
| 1.910 | 25 |

Atomic structure:
Cell: 9.012 9.012 7.117 Å, 90.00 90.00 101.02°
Positions (direct):
1 Ho 0.159 0.841 0.500
2 Ho 0.841 0.159 0.000
3 Th 0.075 0.274 0.492
4 Th 0.274 0.075 0.992
5 Th 0.397 0.603 0.881
6 Th 0.603 0.397 0.381
7 Th 0.726 0.925 0.492
8 Th 0.925 0.726 0.992
9 Se 0.002 0.998 0.742
10 Se 0.094 0.570 0.701
11 Se 0.239 0.761 0.147
12 Se 0.307 0.374 0.187
13 Se 0.374 0.307 0.687
14 Se 0.430 0.906 0.701
15 Se 0.570 0.094 0.201
16 Se 0.626 0.693 0.187
17 Se 0.693 0.626 0.687
18 Se 0.761 0.239 0.647
19 Se 0.906 0.430 0.201
20 Se 0.998 0.002 0.242